Entry 1:
Calculated XRD peak list of Li2MnCo3O8 for Cu Kα, from a GGA+U-relaxed structure.
Neutral-atom scattering factors, no anomalous dispersion.

Top 8 peaks for 2θ from 15° to 90°, in order of rising 2θ:
d 4.688, rel. 100; d 2.448, rel. 46; d 2.344, rel. 13; d 2.030, rel. 52; d 1.563, rel. 18; d 1.436, rel. 15; d 1.434, rel. 15; d 1.373, rel. 9

Structure:
```
Li2MnCo3O8
1.0
5.7380 -5.7454 0.0000
5.7380 5.7454 0.0000
-0.0201 0.0000 8.1178
Li Mn Co O
8 4 12 32
Direct
0.1238 0.1238 0.3780
0.1322 0.6163 0.8772
0.3777 0.3686 0.6282
0.3837 0.8678 0.1228
0.6258 0.1172 0.8710
0.6314 0.6223 0.3718
0.8762 0.8762 0.6220
0.8828 0.3742 0.1290
0.0033 0.9967 0.0000
0.2540 0.7460 0.5000
0.5078 0.2446 0.2540
0.7554 0.4922 0.7460
0.0040 0.2458 0.7490
0.0037 0.7467 0.2503
0.0045 0.4948 0.5004
0.2533 0.9963 0.7497
0.2535 0.4959 0.2505
0.2547 0.2470 0.0001
0.5044 0.4956 0.0000
0.5041 0.7465 0.7495
0.5052 0.9955 0.4996
0.7530 0.7453 0.9999
0.7545 0.2455 0.5000
0.7542 0.9960 0.2510
0.0146 0.7359 0.4834
0.0163 0.0087 0.7635
0.0192 0.2341 0.9907
0.0233 0.5114 0.2648
0.2401 0.2307 0.7669
0.2413 0.0101 0.9868
0.2411 0.5090 0.4885
0.2426 0.7296 0.2613
0.2637 0.2617 0.2337
0.2641 0.9854 0.5166
0.2686 0.4805 0.0160
0.2704 0.7574 0.7387
0.4866 0.2573 0.0110
0.4869 0.4831 0.2364
0.4886 0.9767 0.7352
0.4910 0.7589 0.5115
0.5150 0.2335 0.4870
0.5171 0.0089 0.2618
0.5169 0.5131 0.7636
0.5195 0.7314 0.9840
0.7383 0.7363 0.7663
0.7391 0.0108 0.4851
0.7418 0.2338 0.2615
0.7427 0.5134 0.9890
0.7662 0.2582 0.7385
0.7659 0.9808 0.0093
0.7665 0.4850 0.5130
0.7693 0.7599 0.2331
0.9892 0.2609 0.5149
0.9899 0.7587 0.0132
0.9911 0.4829 0.7382
0.9913 0.9837 0.2365
```

=====

Entry 2:
Calculated XRD peak list of Li7Mn2Co3O12 for Cu Kα, from a GGA+U-relaxed structure.
Neutral-atom scattering factors, no anomalous dispersion.

Top 8 peaks for 2θ from 15° to 90°, in order of rising 2θ:
d 4.831, rel. 100; d 2.495, rel. 26; d 2.487, rel. 12; d 2.074, rel. 83; d 1.602, rel. 14; d 1.473, rel. 22; d 1.459, rel. 15; d 1.397, rel. 9

Structure:
```
Li7Mn2Co3O12
1.0
4.9032 -4.3912 0.0000
4.9032 4.3912 0.0000
-0.8661 0.0000 4.9743
Li Mn Co O
7 2 3 12
Direct
0.0000 0.0000 0.0000
0.0803 0.4076 0.2416
0.2470 0.2500 0.7535
0.4141 0.0809 0.2517
0.5924 0.9197 0.7584
0.7500 0.7530 0.2465
0.9191 0.5859 0.7483
0.3314 0.6686 0.0000
0.8366 0.1634 0.5000
0.1591 0.8409 0.5000
0.5005 0.4995 0.5000
0.6773 0.3227 0.0000
0.0706 0.7086 0.1410
0.1053 0.1239 0.3898
0.2241 0.5541 0.6486
0.2914 0.9294 0.8590
0.3898 0.3962 0.1237
0.4459 0.7759 0.3514
0.5577 0.2176 0.6228
0.6038 0.6102 0.8763
0.7136 0.0603 0.1502
0.7824 0.4423 0.3772
0.8761 0.8947 0.6102
0.9397 0.2864 0.8498
```

=====

Entry 3:
Calculated XRD peak list of Li7Mn2Co3O12 for Cu Kα, from a GGA+U-relaxed structure.
Neutral-atom scattering factors, no anomalous dispersion.

Top 8 peaks for 2θ from 15° to 90°, in order of rising 2θ:
d 4.854, rel. 100; d 2.501, rel. 14; d 2.493, rel. 13; d 2.486, rel. 13; d 2.082, rel. 57; d 2.070, rel. 28; d 1.610, rel. 9; d 1.479, rel. 15

Structure:
```
Li7Mn2Co3O12
1.0
5.1308 0.0000 0.0000
-1.6251 5.5954 0.0000
-0.8420 -1.7779 7.5024
Li Mn Co O
7 2 3 12
Direct
0.0000 0.0000 0.0000
0.0013 0.3339 0.3124
0.4921 0.4136 0.1643
0.9841 0.6606 0.6740
0.9848 0.1609 0.6710
0.9944 0.4996 0.0043
0.9984 0.8288 0.3214
0.4900 0.7415 0.4945
0.4953 0.2470 0.4948
0.4867 0.5746 0.8424
0.4890 0.9039 0.1579
0.5057 0.0906 0.8487
0.2504 0.7963 0.9153
0.2545 0.3001 0.9008
0.2635 0.6360 0.2640
0.2705 0.4575 0.5681
0.2776 0.1213 0.2607
0.2797 0.9642 0.5794
0.7058 0.8498 0.7361
0.7154 0.5337 0.4269
0.7166 0.0313 0.4232
0.7176 0.3611 0.7344
0.7271 0.7191 0.0813
0.7342 0.1975 0.0675
```

=====

Entry 4:
Calculated XRD peak list of Li3MnCoO5 for Cu Kα, from a GGA+U-relaxed structure.
Neutral-atom scattering factors, no anomalous dispersion.

Top 8 peaks for 2θ from 15° to 90°, in order of rising 2θ:
d 4.869, rel. 100; d 2.493, rel. 37; d 2.083, rel. 60; d 2.073, rel. 27; d 1.613, rel. 9; d 1.477, rel. 15; d 1.462, rel. 13; d 1.397, rel. 10

Structure:
```
Li3MnCoO5
1.0
10.4524 -1.4583 0.0000
10.4524 1.4583 0.0000
-0.7612 0.0000 5.9025
Li Mn Co O
6 2 2 10
Direct
0.0000 0.0000 0.0000
0.0010 0.0010 0.4996
0.2071 0.2071 0.6026
0.4101 0.4101 0.2190
0.5936 0.5936 0.7877
0.8091 0.8091 0.4095
0.2059 0.2059 0.1012
0.6001 0.6001 0.3043
0.4126 0.4126 0.6878
0.8124 0.8124 0.8962
0.1071 0.1071 0.5215
0.1097 0.1097 0.0786
0.2960 0.2960 0.1346
0.3034 0.3034 0.6657
0.4995 0.4995 0.7545
0.5140 0.5140 0.2531
0.7015 0.7015 0.3200
0.7046 0.7046 0.8827
0.8998 0.8998 0.9507
0.9031 0.9031 0.4614
```

=====

Entry 5:
Calculated XRD peak list of Li5MnCo2O8 for Cu Kα, from a GGA+U-relaxed structure.
Neutral-atom scattering factors, no anomalous dispersion.

Top 8 peaks for 2θ from 15° to 90°, in order of rising 2θ:
d 5.083, rel. 12; d 4.812, rel. 100; d 2.500, rel. 17; d 2.481, rel. 26; d 2.073, rel. 64; d 2.060, rel. 31; d 1.464, rel. 17; d 1.459, rel. 16

Structure:
```
Li5MnCo2O8
1.0
9.6458 -1.4452 0.0000
9.6458 1.4452 0.0000
-0.3397 0.0000 5.0833
Li Mn Co O
5 1 2 8
Direct
0.0000 0.0000 0.0000
0.1232 0.1232 0.3740
0.3795 0.3795 0.1171
0.6205 0.6205 0.8829
0.8768 0.8768 0.6260
0.5000 0.5000 0.5000
0.2502 0.2502 0.7505
0.7498 0.7498 0.2495
0.0553 0.0553 0.6667
0.1924 0.1924 0.0643
0.3066 0.3066 0.4317
0.4417 0.4417 0.7873
0.5583 0.5583 0.2127
0.6934 0.6934 0.5683
0.8076 0.8076 0.9357
0.9447 0.9447 0.3333
```

=====

Entry 6:
Calculated XRD peak list of Li4MnCo2O7 for Cu Kα, from a GGA+U-relaxed structure.
Neutral-atom scattering factors, no anomalous dispersion.

Top 8 peaks for 2θ from 15° to 90°, in order of rising 2θ:
d 4.847, rel. 100; d 2.521, rel. 13; d 2.497, rel. 26; d 2.099, rel. 27; d 2.076, rel. 54; d 1.604, rel. 10; d 1.480, rel. 15; d 1.472, rel. 14

Structure:
```
Li4MnCo2O7
1.0
9.7381 -1.4606 0.0000
9.7381 1.4606 0.0000
-4.0081 0.0000 8.9041
Li Mn Co O
8 2 4 14
Direct
0.0000 0.0000 0.0000
0.0664 0.0664 0.7972
0.2076 0.2076 0.3463
0.3651 0.3651 0.9462
0.4999 0.4999 0.4946
0.6333 0.6333 0.0739
0.7862 0.7862 0.6460
0.9261 0.9261 0.2100
0.1412 0.1412 0.5688
0.4306 0.4306 0.7254
0.2836 0.2836 0.1457
0.5594 0.5594 0.2603
0.7133 0.7133 0.8616
0.8550 0.8550 0.4316
0.0450 0.0450 0.4054
0.1044 0.1044 0.1867
0.1817 0.1817 0.9616
0.2395 0.2395 0.7492
0.3281 0.3281 0.5411
0.3860 0.3860 0.3281
0.4649 0.4649 0.1205
0.5253 0.5253 0.8769
0.6113 0.6113 0.6689
0.6748 0.6748 0.4808
0.7535 0.7535 0.2518
0.8140 0.8140 0.0374
0.8946 0.8946 0.8099
0.9574 0.9574 0.6177
```